Record 1
# K2PmAl2O6
Computed XRD peak list, Cu Kα, 1.54184 Å. Input: a DFT-relaxed cell (GGA-PBE, Alexandria).
Intensities are scaled so that the largest is 100.

Most intense lines, 2θ = 10–90°, sorted by position:
13.95 deg, I 77; 23.45 deg, I 100; 28.10 deg, I 27; 32.80 deg, I 52; 35.80 deg, I 20; 40.72 deg, I 34; 43.73 deg, I 77; 47.03 deg, I 21; 53.24 deg, I 24; 58.55 deg, I 24

Structure:
a = 5.461 Å, b = 5.461 Å, c = 6.350 Å
α = 90.00°, β = 90.00°, γ = 120.00°
Fractional positions:
K 0.333 0.667 0.000
K 0.667 0.333 0.000
Pm 0.000 0.000 0.500
Al 0.333 0.667 0.500
Al 0.667 0.333 0.500
O 0.000 0.387 0.661
O 0.000 0.613 0.339
O 0.387 0.000 0.661
O 0.387 0.387 0.339
O 0.613 0.000 0.339
O 0.613 0.613 0.661



Record 2
# RbBe4Te3O12
Computed XRD peak list, Cu Kα, 1.54184 Å. Input: a DFT-relaxed cell (GGA-PBE, Alexandria).
Intensities are scaled so that the largest is 100.

Most intense lines, 2θ = 10–90°, sorted by position:
17.35 deg, I 34; 22.58 deg, I 100; 28.61 deg, I 19; 28.91 deg, I 91; 35.11 deg, I 20; 42.36 deg, I 36; 46.90 deg, I 19; 47.62 deg, I 24; 57.48 deg, I 12; 76.03 deg, I 13

Structure:
a = 6.565 Å, b = 6.565 Å, c = 6.565 Å
α = 102.28°, β = 102.28°, γ = 102.28°
Fractional positions:
Rb 0.000 0.000 0.000
Be 0.060 0.500 0.940
Be 0.500 0.500 0.500
Be 0.500 0.940 0.060
Be 0.940 0.060 0.500
Te 0.000 0.550 0.450
Te 0.450 0.000 0.550
Te 0.550 0.450 0.000
O 0.001 0.251 0.405
O 0.095 0.905 0.500
O 0.251 0.405 0.001
O 0.346 0.654 0.500
O 0.405 0.001 0.251
O 0.500 0.095 0.905
O 0.500 0.346 0.654
O 0.595 0.749 0.999
O 0.654 0.500 0.346
O 0.749 0.999 0.595
O 0.905 0.500 0.095
O 0.999 0.595 0.749



Record 3
# Na5PrTl6
Computed XRD peak list, Cu Kα, 1.54184 Å. Input: a DFT-relaxed cell (GGA-PBE, Alexandria).
Intensities are scaled so that the largest is 100.

Most intense lines, 2θ = 10–90°, sorted by position:
22.14 deg, I 26; 23.75 deg, I 45; 32.69 deg, I 100; 33.67 deg, I 23; 33.99 deg, I 23; 40.66 deg, I 12; 48.60 deg, I 17; 59.60 deg, I 18; 60.01 deg, I 18; 68.51 deg, I 12

Structure:
a = 8.410 Å, b = 8.410 Å, c = 8.029 Å
α = 90.00°, β = 90.00°, γ = 143.45°
Fractional positions:
Na 0.000 0.000 0.000
Na 0.330 0.670 0.000
Na 0.333 0.667 0.500
Na 0.667 0.333 0.500
Na 0.670 0.330 0.000
Pr 0.000 0.000 0.500
Tl 0.169 0.831 0.256
Tl 0.169 0.831 0.744
Tl 0.500 0.500 0.239
Tl 0.500 0.500 0.761
Tl 0.831 0.169 0.256
Tl 0.831 0.169 0.744